1.
Theoretical powder X-ray diffraction pattern
Compound: YHfMo4
Radiation: Cu Kα X-rays
Structure: a DFT-relaxed cell (PBE, Alexandria)
Peak positions follow from Bragg's law for the DFT cell and can differ from measured ones.

a = 5.438 Å, b = 5.438 Å, c = 5.438 Å
α = 60.00°, β = 60.00°, γ = 60.00°
Positions (direct):
Y: 0.000 0.000 0.000
Hf: 0.750 0.750 0.750
Mo: 0.375 0.375 0.375
Mo: 0.375 0.375 0.875
Mo: 0.375 0.875 0.375
Mo: 0.875 0.375 0.375

Largest 10 diffraction maxima, low angle first, 2θ from 5° to 70°:
d/Å	2theta	I_rel
4.440	20.00	4
3.845	23.13	4
2.719	32.95	37
2.319	38.84	100
2.220	40.64	31
1.922	47.28	1
1.719	53.27	2
1.570	58.83	14
1.480	62.79	32
1.359	69.10	25

---

2.
Theoretical powder X-ray diffraction pattern
Compound: Hf5Zn4Mo
Radiation: Cu Kα X-rays
Structure: a DFT-relaxed cell (PBE, Alexandria)
Peak positions follow from Bragg's law for the DFT cell and can differ from measured ones.

a = 3.353 Å, b = 3.353 Å, c = 16.213 Å
α = 90.00°, β = 90.00°, γ = 90.00°
Positions (direct):
Hf: 0.000 0.000 0.000
Hf: 0.000 0.000 0.200
Hf: 0.000 0.000 0.404
Hf: 0.000 0.000 0.596
Hf: 0.000 0.000 0.800
Zn: 0.500 0.500 0.099
Zn: 0.500 0.500 0.300
Zn: 0.500 0.500 0.700
Zn: 0.500 0.500 0.901
Mo: 0.500 0.500 0.500

Largest 10 diffraction maxima, low angle first, 2θ from 5° to 70°:
d/Å	2theta	I_rel
3.353	26.58	20
3.243	27.51	9
2.371	37.95	53
2.331	38.63	100
1.914	47.50	9
1.677	54.75	18
1.621	56.79	8
1.500	61.87	4
1.489	62.35	4
1.361	69.00	36

---

3.
Theoretical powder X-ray diffraction pattern
Compound: HfN2
Radiation: Cu Kα X-rays
Structure: a DFT-relaxed cell (PBE, Alexandria)
Peak positions follow from Bragg's law for the DFT cell and can differ from measured ones.

a = 3.260 Å, b = 3.260 Å, c = 3.807 Å
α = 90.00°, β = 90.00°, γ = 120.00°
Positions (direct):
Hf: 0.000 0.000 0.000
N: 0.333 0.667 0.312
N: 0.333 0.667 0.688

Largest 8 diffraction maxima, low angle first, 2θ from 5° to 70°:
d/Å	2theta	I_rel
3.807	23.37	54
2.824	31.69	75
2.268	39.74	100
1.904	47.78	8
1.630	56.45	22
1.578	58.47	34
1.499	61.92	24
1.412	66.19	10

---

4.
Theoretical powder X-ray diffraction pattern
Compound: NaHfN3
Radiation: Cu Kα X-rays
Structure: a DFT-relaxed cell (PBE, Alexandria)
Peak positions follow from Bragg's law for the DFT cell and can differ from measured ones.

a = 4.222 Å, b = 4.222 Å, c = 4.222 Å
α = 90.00°, β = 90.00°, γ = 90.00°
Positions (direct):
Na: 0.000 0.000 0.000
Hf: 0.500 0.500 0.500
N: 0.000 0.500 0.500
N: 0.500 0.000 0.500
N: 0.500 0.500 0.000

Largest 8 diffraction maxima, low angle first, 2θ from 5° to 70°:
d/Å	2theta	I_rel
4.222	21.04	95
2.986	29.93	100
2.438	36.87	14
2.111	42.84	31
1.888	48.19	42
1.724	53.13	42
1.493	62.19	19
1.407	66.43	20

---

5.
Theoretical powder X-ray diffraction pattern
Compound: NaHfNb4N8
Radiation: Cu Kα X-rays
Structure: a DFT-relaxed cell (PBE, Alexandria)
Peak positions follow from Bragg's law for the DFT cell and can differ from measured ones.

a = 6.385 Å, b = 6.385 Å, c = 6.385 Å
α = 58.77°, β = 58.77°, γ = 58.77°
Positions (direct):
Na: 0.000 0.000 0.000
Hf: 0.379 0.379 0.379
Nb: 0.003 0.003 0.495
Nb: 0.003 0.495 0.003
Nb: 0.495 0.003 0.003
Nb: 0.625 0.625 0.625
N: 0.244 0.244 0.244
N: 0.245 0.741 0.741
N: 0.257 0.257 0.777
N: 0.257 0.777 0.257
N: 0.741 0.245 0.741
N: 0.741 0.741 0.245
N: 0.758 0.758 0.758
N: 0.777 0.257 0.257

Largest 10 diffraction maxima, low angle first, 2θ from 5° to 70°:
d/Å	2theta	I_rel
3.191	27.96	92
3.133	28.49	30
2.728	32.82	55
2.692	33.28	95
2.674	33.51	100
1.820	50.13	36
1.734	52.79	29
1.720	53.26	28
1.596	57.78	42
1.566	58.96	41

---

6.
Theoretical powder X-ray diffraction pattern
Compound: Na4HfPa3N8
Radiation: Cu Kα X-rays
Structure: a DFT-relaxed cell (PBE, Alexandria)
Peak positions follow from Bragg's law for the DFT cell and can differ from measured ones.

a = 6.990 Å, b = 6.990 Å, c = 6.990 Å
α = 60.04°, β = 60.04°, γ = 60.04°
Positions (direct):
Na: 0.000 0.000 0.000
Na: 0.000 0.500 0.500
Na: 0.500 0.000 0.500
Na: 0.500 0.500 0.000
Hf: 0.500 0.500 0.500
Pa: 0.000 0.000 0.500
Pa: 0.000 0.500 0.000
Pa: 0.500 0.000 0.000
N: 0.229 0.229 0.229
N: 0.234 0.726 0.726
N: 0.274 0.274 0.766
N: 0.274 0.766 0.274
N: 0.726 0.234 0.726
N: 0.726 0.726 0.234
N: 0.766 0.274 0.274
N: 0.771 0.771 0.771

Largest 10 diffraction maxima, low angle first, 2θ from 5° to 70°:
d/Å	2theta	I_rel
5.706	15.53	100
2.982	29.96	54
2.855	31.34	84
2.472	36.34	65
2.268	39.73	23
1.903	47.81	24
1.748	52.33	44
1.672	54.92	24
1.491	62.28	41
1.427	65.38	15

---

7.
Theoretical powder X-ray diffraction pattern
Compound: Na2HfReN4
Radiation: Cu Kα X-rays
Structure: a DFT-relaxed cell (PBE, Alexandria)
Peak positions follow from Bragg's law for the DFT cell and can differ from measured ones.

a = 6.711 Å, b = 6.678 Å, c = 5.633 Å
α = 90.00°, β = 90.00°, γ = 90.00°
Positions (direct):
Na: 0.249 0.159 0.000
Na: 0.251 0.841 0.500
Na: 0.749 0.841 0.500
Na: 0.751 0.159 0.000
Hf: 0.000 0.357 0.511
Hf: 0.500 0.643 0.011
Re: 0.000 0.659 0.018
Re: 0.500 0.341 0.518
N: 0.000 0.412 0.868
N: 0.000 0.626 0.344
N: 0.236 0.799 0.946
N: 0.264 0.201 0.446
N: 0.500 0.374 0.844
N: 0.500 0.588 0.368
N: 0.736 0.201 0.446
N: 0.764 0.799 0.946

Largest 10 diffraction maxima, low angle first, 2θ from 5° to 70°:
d/Å	2theta	I_rel
6.678	13.26	73
4.306	20.63	100
3.355	26.57	36
2.998	29.80	40
2.872	31.14	64
2.817	31.77	42
2.647	33.87	75
2.182	41.38	41
1.855	49.12	25
1.549	59.69	25

---

8.
Theoretical powder X-ray diffraction pattern
Compound: Na2Hf2Sb2N
Radiation: Cu Kα X-rays
Structure: a DFT-relaxed cell (PBE, Alexandria)
Peak positions follow from Bragg's law for the DFT cell and can differ from measured ones.

a = 8.801 Å, b = 8.801 Å, c = 8.801 Å
α = 150.97°, β = 150.97°, γ = 41.52°
Positions (direct):
Na: 0.175 0.175 0.000
Na: 0.825 0.825 0.000
Hf: 0.000 0.500 0.500
Hf: 0.500 0.000 0.500
Sb: 0.373 0.373 0.000
Sb: 0.627 0.627 0.000
N: 0.000 0.000 0.000

Largest 10 diffraction maxima, low angle first, 2θ from 5° to 70°:
d/Å	2theta	I_rel
8.229	10.75	100
4.261	20.85	15
2.917	30.65	45
2.743	32.64	13
2.486	36.13	74
2.206	40.91	32
2.131	42.43	15
2.059	43.98	19
1.719	53.30	14
1.504	61.65	14

---

9.
Theoretical powder X-ray diffraction pattern
Compound: Hf3Pa2NbN6
Radiation: Cu Kα X-rays
Structure: a DFT-relaxed cell (PBE, Alexandria)
Peak positions follow from Bragg's law for the DFT cell and can differ from measured ones.

a = 5.628 Å, b = 5.628 Å, c = 5.873 Å
α = 99.16°, β = 99.16°, γ = 120.05°
Positions (direct):
Hf: 0.000 0.000 0.000
Hf: 0.338 0.662 0.000
Hf: 0.662 0.338 0.000
Pa: 0.167 0.833 0.500
Pa: 0.833 0.167 0.500
Nb: 0.500 0.500 0.500
N: 0.078 0.409 0.226
N: 0.260 0.260 0.772
N: 0.409 0.078 0.226
N: 0.591 0.922 0.774
N: 0.740 0.740 0.228
N: 0.922 0.591 0.774

Largest 10 diffraction maxima, low angle first, 2θ from 5° to 70°:
d/Å	2theta	I_rel
2.783	32.16	38
2.666	33.62	100
2.334	38.58	63
2.332	38.61	31
1.676	54.76	33
1.624	56.67	30
1.436	64.94	16
1.403	66.67	30
1.392	67.28	6
1.387	67.53	14

---

10.
Theoretical powder X-ray diffraction pattern
Compound: SmHfNbN3
Radiation: Cu Kα X-rays
Structure: a DFT-relaxed cell (PBE, Alexandria)
Peak positions follow from Bragg's law for the DFT cell and can differ from measured ones.

a = 5.671 Å, b = 3.284 Å, c = 8.480 Å
α = 90.00°, β = 102.83°, γ = 90.00°
Positions (direct):
Sm: 0.147 0.250 0.191
Sm: 0.853 0.750 0.809
Hf: 0.267 0.750 0.549
Hf: 0.733 0.250 0.451
Nb: 0.377 0.250 0.866
Nb: 0.623 0.750 0.134
N: 0.060 0.250 0.653
N: 0.248 0.750 0.991
N: 0.463 0.750 0.350
N: 0.537 0.250 0.650
N: 0.752 0.250 0.009
N: 0.940 0.750 0.347

Largest 10 diffraction maxima, low angle first, 2θ from 5° to 70°:
d/Å	2theta	I_rel
3.006	29.72	19
2.817	31.77	49
2.767	32.36	28
2.756	32.49	34
2.720	32.93	26
2.584	34.72	100
2.465	36.44	99
2.094	43.21	23
1.749	52.29	21
1.607	57.33	31

---

11.
Theoretical powder X-ray diffraction pattern
Compound: NdHfPaN4
Radiation: Cu Kα X-rays
Structure: a DFT-relaxed cell (PBE, Alexandria)
Peak positions follow from Bragg's law for the DFT cell and can differ from measured ones.

a = 6.761 Å, b = 6.761 Å, c = 5.882 Å
α = 90.00°, β = 90.00°, γ = 128.89°
Positions (direct):
Nd: 0.107 0.893 0.750
Nd: 0.893 0.107 0.250
Hf: 0.244 0.756 0.250
Hf: 0.756 0.244 0.750
Pa: 0.385 0.615 0.750
Pa: 0.615 0.385 0.250
N: 0.000 0.500 0.000
N: 0.000 0.500 0.500
N: 0.076 0.924 0.250
N: 0.446 0.554 0.250
N: 0.500 0.000 0.000
N: 0.500 0.000 0.500
N: 0.554 0.446 0.750
N: 0.924 0.076 0.750

Largest 10 diffraction maxima, low angle first, 2θ from 5° to 70°:
d/Å	2theta	I_rel
6.099	14.52	11
2.941	30.39	36
2.916	30.66	35
2.902	30.82	100
2.102	43.03	20
2.071	43.71	32
1.690	54.27	21
1.681	54.60	21
1.471	63.20	11
1.451	64.19	9

---

12.
Theoretical powder X-ray diffraction pattern
Compound: Nd3HfPa3N8
Radiation: Cu Kα X-rays
Structure: a DFT-relaxed cell (PBE, Alexandria)
Peak positions follow from Bragg's law for the DFT cell and can differ from measured ones.

a = 7.074 Å, b = 7.074 Å, c = 7.074 Å
α = 59.10°, β = 59.10°, γ = 59.10°
Positions (direct):
Nd: 0.000 0.500 0.500
Nd: 0.500 0.000 0.500
Nd: 0.500 0.500 0.000
Hf: 0.500 0.500 0.500
Pa: 0.000 0.000 0.500
Pa: 0.000 0.500 0.000
Pa: 0.500 0.000 0.000
N: 0.239 0.239 0.239
N: 0.248 0.725 0.725
N: 0.275 0.275 0.752
N: 0.275 0.752 0.275
N: 0.725 0.248 0.725
N: 0.725 0.725 0.248
N: 0.752 0.275 0.275
N: 0.761 0.761 0.761

Largest 10 diffraction maxima, low angle first, 2θ from 5° to 70°:
d/Å	2theta	I_rel
5.815	15.24	27
2.907	30.75	36
2.855	31.34	100
2.483	36.17	95
1.768	51.70	33
1.744	52.46	33
1.511	61.37	17
1.496	62.05	31
1.488	62.39	15
1.427	65.38	17